For VAgO, a GGA+U-relaxed structure gives the simulated powder diffractogram in this record (λ = 1.5418 Å (Cu Kα)).

Cell and atoms:
Cell lengths 3.4348, 4.2390, 6.2595 Å; angles 90.00, 91.34, 90.00 degrees
Space group P2_1/m (No. 11)
Unique sites:
V 0.2421 0.2500 0.3819 [2 per cell]
Ag 0.2516 0.7500 0.0191 [2 per cell]
O 0.2460 0.7500 0.4515 [2 per cell]

Principal peaks in the range 10° ≤ 2θ ≤ 90°, by angle:
two_theta  intensity  (hkl)
14.15  83  0 0 1
28.53  87  0 0 2
33.59  43  1 1 0
36.36  100  1 1 -1
36.86  91  1 1 1
42.66  55  0 2 0